Entry 1:
For V2AgP3O11, the GGA+U geometry in the Materials Project gives the simulated XRD peak list in this record (λ = 1.5418 Å (Cu Kα)).
Intensities are scaled so that the largest is 100.

Structural model:
a = 11.7767 Å, b = 8.6930 Å, c = 8.9018 Å
α = 90.00°, β = 114.26°, γ = 90.00°
Space group C2 (No. 5)
Asymmetric unit:
V  0.1239  0.0000  0.2898 x4
V  0.1247  0.4782  0.7912 x4
Ag  0.2493  0.4736  0.2582 x4
P  0.0000  0.1977  0.5000 x2
P  0.0000  0.2810  0.0000 x2
P  0.1111  0.6757  0.4648 x4
P  0.1111  0.8022  0.9648 x4
O  0.0000  0.7254  0.0000 x2
O  0.0000  0.7528  0.5000 x2
O  0.0550  0.5693  0.3160 x4
O  0.0548  0.9090  0.8161 x4
O  0.0704  0.2940  0.6548 x4
O  0.0709  0.1854  0.1553 x4
O  0.0992  0.0919  0.4773 x4
O  0.0997  0.3863  0.9782 x4
O  0.1852  0.6691  0.9401 x4
O  0.1855  0.8099  0.4417 x4
O  0.1872  0.8951  0.1250 x4
O  0.1876  0.5836  0.6252 x4

Main lines, most intense first (10 to 90 degrees two-theta):
| 2θ (°) | I_rel |
| --- | --- |
| 30.1 | 100 |
| 24.9 | 51 |
| 26.4 | 41 |
| 33.9 | 41 |
| 32.7 | 28 |
| 38.6 | 26 |
| 32.9 | 21 |
| 27.6 | 21 |
| 20.4 | 20 |
| 23.2 | 19 |


Entry 2:
For VAg2P2O8, the GGA+U geometry in the Materials Project gives the simulated XRD peak list in this record (λ = 1.5418 Å (Cu Kα)).
Intensities are scaled so that the largest is 100.

Structural model:
a = 7.7956 Å, b = 14.0955 Å, c = 6.3604 Å
α = 90.00°, β = 99.65°, γ = 90.00°
Space group P2_1/c (No. 14)
Asymmetric unit:
V  0.2244  0.0751  0.2656 x4
Ag  0.0452  0.7136  0.6511 x4
Ag  0.4692  0.6470  0.5755 x4
P  0.1732  0.0206  0.7489 x4
P  0.3612  0.6252  0.0362 x4
O  0.0208  0.5184  0.7406 x4
O  0.1044  0.1715  0.1802 x4
O  0.2217  0.0892  0.5815 x4
O  0.2261  0.5853  0.1862 x4
O  0.2836  0.0425  0.9684 x4
O  0.2846  0.7215  0.9579 x4
O  0.3646  0.5541  0.8544 x4
O  0.4633  0.1373  0.3145 x4

Main lines, most intense first (10 to 90 degrees two-theta):
| 2θ (°) | I_rel |
| --- | --- |
| 27.9 | 100 |
| 26.4 | 72 |
| 29.2 | 64 |
| 34.3 | 61 |
| 31.6 | 60 |
| 32.6 | 34 |
| 23.7 | 33 |
| 48.4 | 32 |
| 34.7 | 31 |
| 43.4 | 31 |


Entry 3:
For AgSbWO7, the GGA+U geometry in the Materials Project gives the simulated XRD peak list in this record (λ = 1.5418 Å (Cu Kα)).
Intensities are scaled so that the largest is 100.

Structural model:
a = 7.2762 Å, b = 7.4219 Å, c = 10.4813 Å
α = 90.00°, β = 90.00°, γ = 90.00°
Space group Imma (No. 74)
Asymmetric unit:
Ag  0.2500  0.2500  0.2500 x4
Sb  0.0000  0.0000  0.0000 x4
W  0.2500  0.2500  0.7500 x4
O  0.0000  0.2500  0.0763 x4
O  0.0000  0.2500  0.3310 x4
O  0.0000  0.2500  0.6931 x4
O  0.1925  0.0627  0.8732 x16

Main lines, most intense first (10 to 90 degrees two-theta):
| 2θ (°) | I_rel |
| --- | --- |
| 29.5 | 100 |
| 29.9 | 87 |
| 14.8 | 57 |
| 49.4 | 54 |
| 58.6 | 41 |
| 34.5 | 39 |
| 16.9 | 36 |
| 59.3 | 27 |
| 28.3 | 25 |
| 34.2 | 21 |


Entry 4:
For SrV4Ag2O12, the GGA+U geometry in the Materials Project gives the simulated XRD peak list in this record (λ = 1.5418 Å (Cu Kα)).
Intensities are scaled so that the largest is 100.

Structural model:
a = 10.7379 Å, b = 10.7379 Å, c = 5.0866 Å
α = 90.00°, β = 90.00°, γ = 90.00°
Space group P4/nbm (No. 125, origin choice 2)
Asymmetric unit:
Sr  0.2500  0.2500  0.0000 x2
V  0.0327  0.7500  0.5000 x8
Ag  0.0000  0.0000  0.0000 x4
O  0.0532  0.1803  0.2632 x16
O  0.1330  0.6330  0.6510 x8

Main lines, most intense first (10 to 90 degrees two-theta):
| 2θ (°) | I_rel |
| --- | --- |
| 29.4 | 100 |
| 33.4 | 25 |
| 49.4 | 22 |
| 57.2 | 21 |
| 21.0 | 20 |
| 24.1 | 14 |
| 16.5 | 14 |
| 47.9 | 12 |
| 59.7 | 11 |
| 80.0 | 10 |